(1)
The following is a computed PXRD pattern of Nd3HgPd8. It was derived from a DFT-relaxed cell (GGA-PBE, Alexandria), using a wavelength of 1.5418 Å.
Lines closer than 0.1° are merged.

Most intense lines, 15° ≤ 2θ ≤ 90°, by angle:
d_spacing  intensity
2.746  53
2.343  100
2.339  34
2.240  29
1.495  23
1.493  17
1.375  15
1.371  18

Cell and atoms:
```
Nd3HgPd8
1.0
2.7419 1.5830 8.9936
-2.7419 1.5830 8.9936
0.0000 -3.1660 8.9936
Nd Hg Pd
3 1 8
Direct
0.0000 0.0000 0.0000
0.1295 0.1295 0.1295
0.5171 0.5171 0.5171
0.6374 0.6374 0.6374
0.0704 0.0704 0.5654
0.0704 0.5654 0.0704
0.0717 0.5700 0.5700
0.3196 0.3196 0.3196
0.5654 0.0704 0.0704
0.5700 0.0717 0.5700
0.5700 0.5700 0.0717
0.8196 0.8196 0.8196
```


(2)
The following is a computed PXRD pattern of Nd4HgPd12. It was derived from a DFT-relaxed cell (GGA-PBE, Alexandria), using a wavelength of 1.5418 Å.
Lines closer than 0.1° are merged.

Most intense lines, 15° ≤ 2θ ≤ 90°, by angle:
d_spacing  intensity
3.076  22
2.751  17
2.511  100
2.325  28
2.175  77
1.855  21
1.538  41
1.312  25

Cell and atoms:
```
Nd4HgPd12
1.0
-4.3500 4.3500 4.3500
4.3500 -4.3500 4.3500
4.3500 4.3500 -4.3500
Nd Hg Pd
4 1 12
Direct
0.0000 0.0000 0.5000
0.0000 0.5000 0.0000
0.5000 0.0000 0.0000
0.5000 0.5000 0.5000
0.0000 0.0000 0.0000
0.0000 0.3064 0.3064
0.0000 0.6936 0.6936
0.2500 0.5000 0.7500
0.2500 0.7500 0.5000
0.3064 0.0000 0.3064
0.3064 0.3064 0.0000
0.5000 0.2500 0.7500
0.5000 0.7500 0.2500
0.6936 0.0000 0.6936
0.6936 0.6936 0.0000
0.7500 0.2500 0.5000
0.7500 0.5000 0.2500
```


(3)
The following is a computed PXRD pattern of Nd6HgPd5. It was derived from a DFT-relaxed cell (GGA-PBE, Alexandria), using a wavelength of 1.5418 Å.
Lines closer than 0.1° are merged.

Most intense lines, 15° ≤ 2θ ≤ 90°, by angle:
d_spacing  intensity
3.003  100
2.216  13
2.144  24
2.104  24
2.041  10
1.688  11
1.502  10
1.353  10

Cell and atoms:
```
Nd6HgPd5
1.0
3.7836 -6.1216 0.0000
3.7836 6.1216 0.0000
-2.1792 0.0000 7.0428
Nd Hg Pd
6 1 5
Direct
0.0491 0.4037 0.7277
0.2146 0.2146 0.2339
0.4037 0.0491 0.7277
0.5963 0.9509 0.2723
0.7854 0.7854 0.7661
0.9509 0.5963 0.2723
0.5000 0.5000 0.0000
0.0000 0.0000 0.5000
0.1799 0.8201 0.0000
0.3574 0.6427 0.5000
0.6427 0.3574 0.5000
0.8201 0.1799 0.0000
```


(4)
The following is a computed PXRD pattern of NdHg3Pd. It was derived from a DFT-relaxed cell (GGA-PBE, Alexandria), using a wavelength of 1.5418 Å.
Lines closer than 0.1° are merged.

Most intense lines, 15° ≤ 2θ ≤ 90°, by angle:
d_spacing  intensity
5.342  58
3.093  56
2.789  35
2.671  49
2.397  34
2.314  100
1.815  27
1.501  26

Cell and atoms:
```
NdHg3Pd
1.0
-2.7887 2.7887 9.2930
2.7887 -2.7887 9.2930
2.7887 2.7887 -9.2930
Nd Hg Pd
2 6 2
Direct
0.1866 0.1866 0.0000
0.8134 0.8134 0.0000
0.3751 0.1286 0.7535
0.3751 0.6216 0.2465
0.3784 0.6249 0.7535
0.5580 0.0580 0.5000
0.8714 0.6249 0.2465
0.9420 0.4420 0.5000
0.2500 0.7500 0.5000
0.5000 0.5000 0.0000
```


(5)
The following is a computed PXRD pattern of Nd4HgPd. It was derived from a DFT-relaxed cell (GGA-PBE, Alexandria), using a wavelength of 1.5418 Å.
Lines closer than 0.1° are merged.

Most intense lines, 15° ≤ 2θ ≤ 90°, by angle:
d_spacing  intensity
3.308  100
3.158  48
3.080  30
3.043  26
2.621  22
2.251  26
2.229  32
2.182  25

Cell and atoms:
```
Nd4HgPd
1.0
7.4017 0.0000 0.0000
0.0000 7.4456 0.0000
-0.4984 0.0000 7.2188
Nd Hg Pd
8 2 2
Direct
0.1498 0.1579 0.1753
0.1498 0.3421 0.6753
0.3333 0.6484 0.1240
0.3333 0.8516 0.6240
0.6667 0.1484 0.3760
0.6667 0.3516 0.8760
0.8502 0.6579 0.3247
0.8502 0.8421 0.8247
0.5000 0.0000 0.0000
0.5000 0.5000 0.5000
0.0000 0.0000 0.5000
0.0000 0.5000 0.0000
```


(6)
The following is a computed PXRD pattern of Pm5Nd4Hg4. It was derived from a DFT-relaxed cell (GGA-PBE, Alexandria), using a wavelength of 1.5418 Å.
Lines closer than 0.1° are merged.

Most intense lines, 15° ≤ 2θ ≤ 90°, by angle:
d_spacing  intensity
2.872  100
2.750  12
2.662  30
2.602  20
2.412  14
2.099  9
1.787  11
1.574  17

Cell and atoms:
```
Pm5Nd4Hg4
1.0
-6.1491 6.1491 2.6621
6.1491 -6.1491 2.6621
6.1491 6.1491 -2.6621
Pm Nd Hg
5 4 4
Direct
0.0000 0.0000 0.0000
0.3167 0.6165 0.9332
0.3835 0.3167 0.7002
0.6165 0.6833 0.2998
0.6833 0.3835 0.0668
0.0978 0.3881 0.4859
0.3881 0.9022 0.2903
0.6119 0.0978 0.7097
0.9022 0.6119 0.5141
0.1017 0.7653 0.8670
0.2347 0.1017 0.3363
0.7653 0.8983 0.6637
0.8983 0.2347 0.1330
```


(7)
The following is a computed PXRD pattern of PmNd3Hg7. It was derived from a DFT-relaxed cell (GGA-PBE, Alexandria), using a wavelength of 1.5418 Å.
Lines closer than 0.1° are merged.

Most intense lines, 15° ≤ 2θ ≤ 90°, by angle:
d_spacing  intensity
2.985  73
2.949  93
2.705  100
2.646  62
2.614  95
2.376  89
2.144  46
1.436  51

Cell and atoms:
```
PmNd3Hg7
1.0
1.8010 -10.8192 0.0000
1.8010 10.8192 0.0000
0.0000 0.0000 15.8680
Pm Nd Hg
2 6 14
Direct
0.0150 0.9850 0.7500
0.9850 0.0150 0.2500
0.1166 0.8834 0.0161
0.1166 0.8834 0.4839
0.2350 0.7650 0.7500
0.7650 0.2350 0.2500
0.8834 0.1166 0.5161
0.8834 0.1166 0.9839
0.2544 0.7456 0.0789
0.2544 0.7456 0.4211
0.3772 0.6228 0.1569
0.3772 0.6228 0.3431
0.3842 0.6158 0.7500
0.4948 0.5052 0.5898
0.4948 0.5052 0.9102
0.5052 0.4948 0.0898
0.5052 0.4948 0.4102
0.6158 0.3842 0.2500
0.6228 0.3772 0.6569
0.6228 0.3772 0.8431
0.7456 0.2544 0.5789
0.7456 0.2544 0.9211
```


(8)
The following is a computed PXRD pattern of Pm6NdHg. It was derived from a DFT-relaxed cell (GGA-PBE, Alexandria), using a wavelength of 1.5418 Å.
Lines closer than 0.1° are merged.

Most intense lines, 15° ≤ 2θ ≤ 90°, by angle:
d_spacing  intensity
2.914  100
2.574  18
2.499  33
1.793  24
1.767  12
1.544  14
1.511  28
1.457  12

Cell and atoms:
```
Pm6NdHg
1.0
4.9980 0.0000 0.0000
0.0000 4.9980 0.0000
0.0000 0.0000 10.2977
Pm Nd Hg
6 1 1
Direct
0.0000 0.0000 0.0000
0.0000 0.0000 0.5000
0.0000 0.5000 0.2416
0.0000 0.5000 0.7584
0.5000 0.0000 0.2416
0.5000 0.0000 0.7584
0.5000 0.5000 0.5000
0.5000 0.5000 0.0000
```


(9)
The following is a computed PXRD pattern of Pm2NdHg7. It was derived from a DFT-relaxed cell (GGA-PBE, Alexandria), using a wavelength of 1.5418 Å.
Lines closer than 0.1° are merged.

Most intense lines, 15° ≤ 2θ ≤ 90°, by angle:
d_spacing  intensity
2.994  37
2.534  100
2.517  88
1.786  32
1.463  19
1.460  33
1.267  12
1.132  15

Cell and atoms:
```
Pm2NdHg7
1.0
5.0676 0.0000 0.0000
-2.5338 4.3887 0.0000
0.0000 0.0000 12.2865
Pm Nd Hg
2 1 7
Direct
0.0000 0.0000 0.0000
0.3333 0.6667 0.6820
0.6667 0.3333 0.3204
0.0000 0.0000 0.2435
0.0000 0.0000 0.5006
0.0000 0.0000 0.7562
0.3333 0.6667 0.1318
0.3333 0.6667 0.4137
0.6667 0.3333 0.5908
0.6667 0.3333 0.8692
```


(10)
The following is a computed PXRD pattern of Pm2NdHg2. It was derived from a DFT-relaxed cell (GGA-PBE, Alexandria), using a wavelength of 1.5418 Å.
Lines closer than 0.1° are merged.

Most intense lines, 15° ≤ 2θ ≤ 90°, by angle:
d_spacing  intensity
2.793  18
2.737  100
1.955  13
1.916  7
1.601  11
1.581  22
1.570  8
1.369  11

Cell and atoms:
```
Pm2NdHg2
1.0
3.8328 0.0000 0.0000
0.0000 5.4765 0.0000
-1.9264 0.0000 13.9636
Pm Nd Hg
4 2 4
Direct
0.0476 0.2500 0.0941
0.2347 0.2500 0.4714
0.7653 0.7500 0.5286
0.9524 0.7500 0.9059
0.1464 0.7500 0.2906
0.8536 0.2500 0.7094
0.3569 0.7500 0.7132
0.4512 0.2500 0.9038
0.5488 0.7500 0.0962
0.6431 0.2500 0.2868
```


(11)
The following is a computed PXRD pattern of PmNd8Hg6. It was derived from a DFT-relaxed cell (GGA-PBE, Alexandria), using a wavelength of 1.5418 Å.
Lines closer than 0.1° are merged.

Most intense lines, 15° ≤ 2θ ≤ 90°, by angle:
d_spacing  intensity
4.600  11
3.758  7
2.657  100
2.459  4
1.879  19
1.534  38
1.329  11
1.188  16

Cell and atoms:
```
PmNd8Hg6
1.0
4.6002 2.6559 6.5140
-4.6002 2.6559 6.5140
0.0000 -5.3118 6.5140
Pm Nd Hg
1 8 6
Direct
0.0000 0.0000 0.0000
0.1143 0.4505 0.7805
0.2195 0.8857 0.5495
0.3338 0.3338 0.3338
0.4505 0.7805 0.1143
0.5495 0.2195 0.8857
0.6662 0.6662 0.6662
0.7805 0.1143 0.4505
0.8857 0.5495 0.2195
0.0536 0.7226 0.3849
0.2774 0.6151 0.9464
0.3849 0.0536 0.7226
0.6151 0.9464 0.2774
0.7226 0.3849 0.0536
0.9464 0.2774 0.6151
```


(12)
The following is a computed PXRD pattern of Pm2Nd3Hg4. It was derived from a DFT-relaxed cell (GGA-PBE, Alexandria), using a wavelength of 1.5418 Å.
Lines closer than 0.1° are merged.

Most intense lines, 15° ≤ 2θ ≤ 90°, by angle:
d_spacing  intensity
4.074  24
3.067  96
2.685  100
2.654  36
2.494  44
2.394  22
2.335  30
1.551  32

Cell and atoms:
```
Pm2Nd3Hg4
1.0
3.5209 -9.3616 0.0000
3.5209 9.3616 0.0000
0.0000 0.0000 8.3018
Pm Nd Hg
4 6 8
Direct
0.0943 0.9057 0.9151
0.4057 0.5943 0.4151
0.5943 0.4057 0.5849
0.9057 0.0943 0.0849
0.0000 0.0000 0.5000
0.0103 0.4897 0.7500
0.4897 0.0103 0.2500
0.5000 0.5000 0.0000
0.5103 0.9897 0.7500
0.9897 0.5103 0.2500
0.1632 0.8368 0.5327
0.1808 0.3192 0.7500
0.3192 0.1808 0.2500
0.3368 0.6632 0.0327
0.6632 0.3368 0.9673
0.6808 0.8192 0.7500
0.8192 0.6808 0.2500
0.8368 0.1632 0.4673
```


(13)
The following is a computed PXRD pattern of PmNd8Hg2. It was derived from a DFT-relaxed cell (GGA-PBE, Alexandria), using a wavelength of 1.5418 Å.
Lines closer than 0.1° are merged.

Most intense lines, 15° ≤ 2θ ≤ 90°, by angle:
d_spacing  intensity
3.121  100
2.901  79
2.846  68
2.826  66
2.680  90
2.606  22
2.125  23
1.589  23

Cell and atoms:
```
PmNd8Hg2
1.0
4.4940 -7.6550 0.0000
4.4940 7.6550 0.0000
-2.0927 0.0000 5.4019
Pm Nd Hg
1 8 2
Direct
0.0000 0.0000 0.0000
0.0906 0.3170 0.6046
0.2258 0.7742 0.0000
0.3170 0.0906 0.6046
0.4011 0.4011 0.2004
0.5989 0.5989 0.7996
0.6830 0.9094 0.3954
0.7742 0.2258 0.0000
0.9094 0.6830 0.3954
0.3061 0.6939 0.5000
0.6939 0.3061 0.5000
```